Entry 1:
The following is a simulated XRD peak list of PmZn6Ni6. It was derived from a DFT-relaxed cell (GGA-PBE, Alexandria), using λ = 1.5418 Å (Cu Kα).

Principal peaks in the range 2θ = 15–90°, low angle first:
two_theta  intensity
35.99  59
36.18  36
36.92  37
41.72  47
41.95  64
42.15  100
42.31  61
42.60  77
43.18  54
47.46  67

Atomic structure:
Cell: 6.5170 6.5170 6.5170 Å, 135.21 99.97 96.73°
Fractional coordinates of all 13 atoms:
Pm1 0.0000 0.0000 0.0000
Zn1 0.2049 0.7049 0.5000
Zn2 0.3444 0.0000 0.3444
Zn3 0.3518 0.3518 0.0000
Zn4 0.6482 0.6482 0.0000
Zn5 0.6556 0.0000 0.6556
Zn6 0.7951 0.2951 0.5000
Ni1 0.0000 0.0000 0.5000
Ni2 0.0000 0.5000 0.0000
Ni3 0.2317 0.5000 0.7317
Ni4 0.5000 0.0000 0.0000
Ni5 0.5000 0.5000 0.5000
Ni6 0.7683 0.5000 0.2683

=====

Entry 2:
The following is a simulated XRD peak list of Sm12Er2Tl. It was derived from a DFT-relaxed cell (GGA-PBE, Alexandria), using λ = 1.5418 Å (Cu Kα).

Principal peaks in the range 2θ = 15–90°, low angle first:
two_theta  intensity
25.64  20
28.68  32
30.09  100
31.24  85
32.75  51
33.31  72
36.77  43
42.92  20
60.52  21
61.78  25

Atomic structure:
Cell: 6.7745 6.7745 24.3773 Å, 90.00 90.00 115.40°
Fractional coordinates of all 30 atoms:
Sm1 0.0011 0.5011 0.1228
Sm2 0.0007 0.9993 0.9279
Sm3 0.0189 0.5189 0.5888
Sm4 0.0244 0.9756 0.4389
Sm5 0.2500 0.2500 0.1952
Sm6 0.2500 0.2500 0.3228
Sm7 0.2500 0.2500 0.6772
Sm8 0.2500 0.2500 0.8048
Sm9 0.4756 0.5244 0.4389
Sm10 0.4811 0.9811 0.5888
Sm11 0.4993 0.5007 0.9279
Sm12 0.4989 0.9989 0.1228
Sm13 0.5011 0.0011 0.8772
Sm14 0.5007 0.4993 0.0721
Sm15 0.5189 0.0189 0.4112
Sm16 0.5244 0.4756 0.5611
Sm17 0.7500 0.7500 0.1952
Sm18 0.7500 0.7500 0.3228
Sm19 0.7500 0.7500 0.6772
Sm20 0.7500 0.7500 0.8048
Sm21 0.9756 0.0244 0.5611
Sm22 0.9811 0.4811 0.4112
Sm23 0.9993 0.0007 0.0721
Sm24 0.9989 0.4989 0.8772
Er1 0.2500 0.7500 0.2645
Er2 0.2500 0.7500 0.7392
Er3 0.7500 0.2500 0.2608
Er4 0.7500 0.2500 0.7355
Tl1 0.2500 0.7500 0.0002
Tl2 0.7500 0.2500 0.9998

=====

Entry 3:
The following is a simulated XRD peak list of NbHgIrO6. It was derived from a DFT-relaxed cell (GGA-PBE, Alexandria), using λ = 1.5418 Å (Cu Kα).

Principal peaks in the range 2θ = 15–90°, low angle first:
two_theta  intensity
23.78  21
28.14  100
28.67  44
29.97  59
38.61  20
44.59  17
45.54  12
51.76  21
58.20  24
63.31  14

Atomic structure:
Cell: 7.3973 7.3973 7.3973 Å, 121.37 119.22 89.50°
Fractional coordinates of all 18 atoms:
Nb1 0.0000 0.0000 0.0000
Nb2 0.5000 0.0000 0.5000
Hg1 0.2997 0.5497 0.7500
Hg2 0.7003 0.4503 0.2500
Ir1 0.0000 0.0000 0.5000
Ir2 0.0000 0.5000 0.0000
O1 0.0528 0.3229 0.1275
O2 0.0528 0.9254 0.7300
O3 0.0645 0.3145 0.7500
O4 0.3046 0.0746 0.6275
O5 0.3046 0.6771 0.2300
O6 0.3098 0.0598 0.2500
O7 0.6902 0.9402 0.7500
O8 0.6954 0.3229 0.7700
O9 0.6954 0.9254 0.3725
O10 0.9355 0.6855 0.2500
O11 0.9472 0.0746 0.2700
O12 0.9472 0.6771 0.8725

=====

Entry 4:
The following is a simulated XRD peak list of Th2NiIr. It was derived from a DFT-relaxed cell (GGA-PBE, Alexandria), using λ = 1.5418 Å (Cu Kα).

Principal peaks in the range 2θ = 15–90°, low angle first:
two_theta  intensity
26.22  30
32.06  78
32.27  100
32.46  86
39.54  57
40.03  60
42.20  49
47.47  35
53.96  37
65.37  27

Atomic structure:
Cell: 5.9335 4.2833 7.6614 Å, 90.00 109.76 90.00°
Fractional coordinates of all 8 atoms:
Th1 0.2290 0.2500 0.4350
Th2 0.2300 0.2500 0.9337
Th3 0.7700 0.7500 0.0663
Th4 0.7710 0.7500 0.5650
Ni1 0.3164 0.7500 0.7039
Ni2 0.6836 0.2500 0.2961
Ir1 0.3126 0.7500 0.2079
Ir2 0.6874 0.2500 0.7921

=====

Entry 5:
The following is a simulated XRD peak list of ErTa2Ni9. It was derived from a DFT-relaxed cell (GGA-PBE, Alexandria), using λ = 1.5418 Å (Cu Kα).

Principal peaks in the range 2θ = 15–90°, low angle first:
two_theta  intensity
34.27  47
37.42  81
43.66  33
44.19  100
46.27  22
47.78  24
65.49  14
67.50  20
72.22  30
79.81  19

Atomic structure:
Cell: 8.3250 8.3250 8.3250 Å, 33.56 33.56 33.56°
Fractional coordinates of all 12 atoms:
Er1 0.0000 0.0000 0.0000
Ta1 0.1416 0.1416 0.1416
Ta2 0.8584 0.8584 0.8584
Ni1 0.0814 0.5894 0.5894
Ni2 0.3337 0.3337 0.3337
Ni3 0.4106 0.4106 0.9186
Ni4 0.4106 0.9186 0.4106
Ni5 0.5000 0.5000 0.5000
Ni6 0.5894 0.0814 0.5894
Ni7 0.5894 0.5894 0.0814
Ni8 0.6663 0.6663 0.6663
Ni9 0.9186 0.4106 0.4106

=====

Entry 6:
The following is a simulated XRD peak list of Zr3Ta2. It was derived from a DFT-relaxed cell (GGA-PBE, Alexandria), using λ = 1.5418 Å (Cu Kα).

Principal peaks in the range 2θ = 15–90°, low angle first:
two_theta  intensity
35.27  33
35.45  100
41.11  66
59.42  22
59.67  22
71.03  12
71.25  25
71.37  13
75.03  11
89.22  7

Atomic structure:
Cell: 12.8494 12.8494 12.8494 Å, 13.85 13.85 13.85°
Fractional coordinates of all 5 atoms:
Zr1 0.0000 0.0000 0.0000
Zr2 0.2020 0.2020 0.2020
Zr3 0.7980 0.7980 0.7980
Ta1 0.3987 0.3987 0.3987
Ta2 0.6013 0.6013 0.6013